Structure and simulated X-ray diffraction stick pattern of SrTl3Bi (a cell relaxed with PBE; Cu Kα, 1.54184 Å).
Neutral-atom scattering factors, no anomalous dispersion.

Cell and atoms:
Cell lengths 13.155, 13.155, 13.155 Å; angles 154.08, 154.08, 36.98 degrees
Element x y z (fractional)
Sr  0.186  0.186  0.000
Sr  0.814  0.814  0.000
Tl  0.367  0.620  0.748
Tl  0.380  0.128  0.748
Tl  0.380  0.633  0.252
Tl  0.567  0.067  0.500
Tl  0.872  0.620  0.252
Tl  0.933  0.433  0.500
Bi  0.250  0.750  0.500
Bi  0.500  0.500  0.000

Most intense lines, 2θ = 10–90°, in order of rising 2θ:
- 15.43 deg, d = 5.742 Å, I = 67
- 23.35 deg, d = 3.810 Å, I = 20
- 29.27 deg, d = 3.051 Å, I = 33
- 30.33 deg, d = 2.947 Å, I = 60
- 31.15 deg, d = 2.871 Å, I = 29
- 35.72 deg, d = 2.514 Å, I = 100
- 45.87 deg, d = 1.978 Å, I = 21
- 57.40 deg, d = 1.605 Å, I = 26